Record 1
Starting from DFT lattice parameters and positions (GGA+U), the PXRD pattern of MnFeBi2O6 was simulated for Cu Ka.
Neutral-atom scattering factors, no anomalous dispersion.

Most intense lines, 2θ from 10° to 90°, by angle:
22.3 deg, rel. 41; 31.7 deg, rel. 100; 39.1 deg, rel. 16; 45.5 deg, rel. 24; 51.2 deg, rel. 10; 51.3 deg, rel. 16; 56.5 deg, rel. 34; 56.7 deg, rel. 9; 70.9 deg, rel. 10; 75.3 deg, rel. 8

Atomic structure:
```
10
Lattice="2.8225 1.6296 4.5922 -2.8225 1.6296 4.5922 0.0000 -3.2591 4.5922" Properties=species:S:1:pos:R:3 pbc="T T T"
Mn 0.0000 0.0000 0.0000
Fe 0.0000 0.0000 6.7702
Bi 0.0000 0.0000 3.0322
Bi 0.0000 0.0000 9.8512
O -0.4404 -1.7943 5.8439
O -1.6126 -0.4574 8.1873
O -1.3337 1.2785 5.8439
O 1.2025 -1.1678 8.1873
O 1.7741 0.5158 5.8439
O 0.4101 1.6253 8.1873
```

Record 2
Starting from DFT lattice parameters and positions (GGA+U), the PXRD pattern of MnFeBiO4 was simulated for Cu Ka.
Neutral-atom scattering factors, no anomalous dispersion.

Most intense lines, 2θ from 10° to 90°, by angle:
14.3 deg, rel. 40; 22.7 deg, rel. 100; 24.3 deg, rel. 77; 24.6 deg, rel. 31; 28.8 deg, rel. 38; 29.4 deg, rel. 45; 32.1 deg, rel. 64; 33.0 deg, rel. 77; 40.7 deg, rel. 44; 43.6 deg, rel. 40

Atomic structure:
```
14
Lattice="5.7320 0.0000 0.0000 0.0000 5.5839 0.0000 -1.8684 0.0000 6.1992" Properties=species:S:1:pos:R:3 pbc="T T T"
Mn 0.9640 1.3960 0.9587
Mn 2.8997 4.1879 5.2405
Fe 2.1063 4.1879 0.0137
Fe 1.7574 1.3960 6.1855
Bi 0.4078 4.1879 2.9445
Bi 3.4559 1.3960 3.2547
O 0.1537 4.1879 0.6337
O -0.2487 1.3960 2.5724
O 2.4218 0.1671 1.3245
O 2.4218 2.6249 1.3245
O 1.4419 2.9591 4.8747
O 1.4419 5.4168 4.8747
O 4.1124 4.1879 3.6268
O 3.7100 1.3960 5.5655
```